(1)
# CuAsSe2
Theoretical XRD peak list, Cu Kα, 1.54184 Å. Input: a crystal structure in the Materials Project, relaxed with PBE.
No peak broadening, texture or thermal motion is included.

```
CuAsSe2
1.0
2.1956 1.2676 5.8571
-2.1956 1.2676 5.8571
0.0000 -2.5353 5.8571
Cu As Se
1 1 2
direct
0.0000 0.0000 0.0000
0.4973 0.4973 0.4973
0.3605 0.3605 0.3605
0.8607 0.8607 0.8607
```

The 10 most intense peaks (10° ≤ 2θ ≤ 80°), by intensity:
- 25.52 deg, rel. 1000
- 41.11 deg, rel. 655
- 52.06 deg, rel. 474
- 47.82 deg, rel. 375
- 30.52 deg, rel. 367
- 49.02 deg, rel. 163
- 79.73 deg, rel. 162
- 64.86 deg, rel. 146
- 65.84 deg, rel. 131
- 74.91 deg, rel. 107

(2)
# CuAsSe2
Theoretical XRD peak list, Cu Kα, 1.54184 Å. Input: a crystal structure in the Materials Project, relaxed with PBE.
No peak broadening, texture or thermal motion is included.

```
CuAsSe2
1.0
4.2153 0.0000 0.0000
0.0000 4.2153 0.0000
0.0000 0.0000 5.6134
Cu As Se
1 1 2
direct
0.0000 0.0000 0.0000
0.5000 0.5000 0.5000
0.0000 0.5000 0.2170
0.5000 0.0000 0.7830
```

The 10 most intense peaks (10° ≤ 2θ ≤ 80°), by intensity:
- 26.44 deg, rel. 1000
- 44.33 deg, rel. 450
- 51.11 deg, rel. 314
- 42.91 deg, rel. 271
- 79.62 deg, rel. 155
- 53.59 deg, rel. 113
- 70.97 deg, rel. 95
- 62.30 deg, rel. 87
- 68.89 deg, rel. 62
- 38.54 deg, rel. 33